For NaEuAu2, the GGA-PBE geometry in the Materials Project gives the theoretical powder X-ray diffraction pattern in this record (CuKα).

Main lines, sorted by position (2θ = 15–90°):
2θ/deg, intensity, h k l
20.86, 11, 1 1 1
24.13, 17, 2 0 0
34.38, 100, 2 2 0
40.56, 6, 3 1 1
42.45, 6, 2 2 2
49.42, 18, 4 0 0
55.72, 8, 4 2 0
61.59, 37, 4 2 2
72.48, 12, 4 4 0
82.74, 17, 6 2 0

Crystal structure
Unit cell a=7.3772 b=7.3772 c=7.3772 alpha=90.00 beta=90.00 gamma=90.00
Space group Fm-3m (No. 225)
Inequivalent atoms, fractional coordinates:
Na (0.0000, 0.0000, 0.0000)
Eu (0.0000, 0.0000, 0.5000)
Au (0.2500, 0.2500, 0.2500)